Calculated X-ray powder pattern
Compound: Na3CoC2ClO6
Radiation: Cu Kα
Structure: a PBE+U-relaxed structure
Neutral-atom scattering factors, no anomalous dispersion.

a = 14.1600 Å, b = 14.1600 Å, c = 14.1600 Å
α = 90.00°, β = 90.00°, γ = 90.00°
Space group Fd-3 (No. 203, origin choice 2)
Symmetry-distinct sites (fractional):
1 Na 0.0992 0.3750 0.3750 (multiplicity 48)
2 Co 0.0000 0.0000 0.5000 (multiplicity 16)
3 C 0.0328 0.0328 0.7172 (multiplicity 32)
4 Cl 0.0000 0.0000 0.0000 (multiplicity 16)
5 O 0.0175 0.1029 0.7745 (multiplicity 96)

Peak list (12 most intense, 15° ≤ 2θ ≤ 90°, sorted by position)
(hkl)	two_theta	I/Imax
2 2 0	17.72	15
2 2 2	21.74	33
4 0 0	25.16	36
4 2 2	30.94	11
3 3 3	32.87	49
4 4 0	35.87	100
6 2 2	42.34	59
8 0 0	51.64	28
6 6 2	56.67	32
8 4 4	64.48	25
6 6 6	68.91	13
10 6 2	80.21	11